Record 1
This entry pairs a crystal structure of AlCdSn with its calculated XRD peak list. Radiation: Cu Kα (λ = 1.5418 Å). Structure: a cell relaxed with GGA-PBE.
Intensities are scaled so that the largest is 1000.

The 10 most intense peaks (2θ = 5–70°), low angle first:
2theta	d_spacing	intensity
17.8	4.978	177
31.5	2.836	590
32.0	2.796	1000
33.4	2.681	633
33.6	2.666	608
38.5	2.337	324
42.4	2.130	191
55.4	1.659	151
65.1	1.434	152
65.8	1.419	147

Atomic structure:
Unit cell a=5.706 b=5.706 c=5.583 alpha=118.56 beta=118.56 gamma=71.49
Fractional positions:
Al 0.001 0.999 0.500
Al 0.999 0.001 0.000
Cd 0.513 0.800 0.908
Cd 0.800 0.513 0.408
Sn 0.184 0.490 0.087
Sn 0.490 0.184 0.587

Record 2
This entry pairs a crystal structure of GaSnSe2 with its calculated XRD peak list. Radiation: Cu Kα (λ = 1.5418 Å). Structure: a cell relaxed with GGA-PBE.
Intensities are scaled so that the largest is 1000.

The 10 most intense peaks (2θ = 5–70°), low angle first:
2theta	d_spacing	intensity
16.4	5.409	640
23.8	3.742	530
29.2	3.058	571
30.2	2.960	847
30.4	2.943	963
33.7	2.662	1000
38.5	2.336	547
41.0	2.201	679
45.6	1.989	604
48.0	1.894	377

Atomic structure:
Unit cell a=3.788 b=5.183 c=10.818 alpha=90.00 beta=90.00 gamma=90.00
Fractional positions:
Ga 0.000 0.006 0.000
Ga 0.000 0.994 0.500
Sn 0.500 0.431 0.924
Sn 0.500 0.569 0.424
Se 0.000 0.277 0.306
Se 0.000 0.723 0.806
Se 0.500 0.220 0.615
Se 0.500 0.780 0.115

Record 3
This entry pairs a crystal structure of La5Dy12Th2 with its calculated XRD peak list. Radiation: Cu Kα (λ = 1.5418 Å). Structure: a cell relaxed with GGA-PBE.
Intensities are scaled so that the largest is 1000.

The 10 most intense peaks (2θ = 5–70°), low angle first:
2theta	d_spacing	intensity
29.6	3.017	174
29.8	3.002	348
30.7	2.914	197
30.9	2.898	349
31.3	2.858	1000
32.4	2.761	416
35.1	2.558	350
35.5	2.526	282
54.7	1.678	148
57.8	1.596	177

Atomic structure:
Unit cell a=9.166 b=9.166 c=8.749 alpha=92.19 beta=92.19 gamma=61.89
Fractional positions:
La 0.000 0.000 0.000
La 0.231 0.231 0.069
La 0.295 0.295 0.474
La 0.705 0.705 0.526
La 0.769 0.769 0.931
Dy 0.033 0.678 0.258
Dy 0.072 0.072 0.379
Dy 0.179 0.561 0.828
Dy 0.322 0.967 0.742
Dy 0.439 0.821 0.172
Dy 0.444 0.444 0.167
Dy 0.556 0.556 0.833
Dy 0.561 0.179 0.828
Dy 0.678 0.033 0.258
Dy 0.821 0.439 0.172
Dy 0.928 0.928 0.621
Dy 0.967 0.322 0.742
Th 0.328 0.672 0.500
Th 0.672 0.328 0.500

Record 4
This entry pairs a crystal structure of Nd12Sn6Ru with its calculated XRD peak list. Radiation: Cu Kα (λ = 1.5418 Å). Structure: a cell relaxed with GGA-PBE.
Intensities are scaled so that the largest is 1000.

The 10 most intense peaks (2θ = 5–70°), low angle first:
2theta	d_spacing	intensity
21.2	4.182	615
24.5	3.631	387
28.3	3.149	230
29.2	3.059	506
30.9	2.892	1000
34.8	2.577	953
35.1	2.558	728
36.3	2.475	409
45.4	1.998	240
66.7	1.403	235

Atomic structure:
Unit cell a=8.883 b=8.883 c=8.883 alpha=99.25 beta=99.25 gamma=99.25
Fractional positions:
Nd 0.015 0.685 0.946
Nd 0.054 0.985 0.315
Nd 0.193 0.428 0.564
Nd 0.315 0.054 0.985
Nd 0.428 0.564 0.193
Nd 0.436 0.807 0.572
Nd 0.564 0.193 0.428
Nd 0.572 0.436 0.807
Nd 0.685 0.946 0.015
Nd 0.807 0.572 0.436
Nd 0.946 0.015 0.685
Nd 0.985 0.315 0.054
Sn 0.123 0.641 0.308
Sn 0.308 0.123 0.641
Sn 0.359 0.692 0.877
Sn 0.641 0.308 0.123
Sn 0.692 0.877 0.359
Sn 0.877 0.359 0.692
Ru 0.000 0.000 0.000

Record 5
This entry pairs a crystal structure of Al11AgO17 with its calculated XRD peak list. Radiation: Cu Kα (λ = 1.5418 Å). Structure: a cell relaxed with GGA-PBE.
Intensities are scaled so that the largest is 1000.

The 10 most intense peaks (2θ = 5–70°), low angle first:
2theta	d_spacing	intensity
18.5	4.786	438
19.7	4.499	773
24.0	3.714	287
31.7	2.826	413
33.0	2.712	1000
35.4	2.532	695
41.9	2.157	383
44.0	2.058	379
66.1	1.413	358
69.3	1.356	289

Atomic structure:
Unit cell a=22.805 b=5.652 c=5.652 alpha=119.98 beta=90.00 gamma=90.00
Fractional positions:
Al 0.000 0.000 0.000
Al 0.025 0.665 0.333
Al 0.106 0.664 0.832
Al 0.107 0.165 0.334
Al 0.107 0.165 0.831
Al 0.176 0.665 0.332
Al 0.324 0.665 0.332
Al 0.393 0.165 0.334
Al 0.393 0.165 0.831
Al 0.394 0.664 0.832
Al 0.475 0.665 0.333
Al 0.500 0.000 0.000
Al 0.525 0.333 0.665
Al 0.606 0.832 0.664
Al 0.607 0.334 0.165
Al 0.607 0.831 0.165
Al 0.676 0.332 0.665
Al 0.824 0.332 0.665
Al 0.893 0.334 0.165
Al 0.893 0.831 0.165
Al 0.894 0.832 0.664
Al 0.975 0.333 0.665
Ag 0.250 0.459 0.729
Ag 0.750 0.729 0.459
O 0.049 0.841 0.156
O 0.050 0.314 0.157
O 0.050 0.841 0.685
O 0.056 0.332 0.666
O 0.141 0.997 0.999
O 0.145 0.001 0.500
O 0.146 0.496 0.504
O 0.146 0.496 0.992
O 0.250 0.647 0.323
O 0.354 0.496 0.504
O 0.354 0.496 0.992
O 0.355 0.001 0.500
O 0.359 0.997 0.999
O 0.444 0.332 0.666
O 0.450 0.314 0.157
O 0.450 0.841 0.685
O 0.451 0.841 0.156
O 0.549 0.156 0.841
O 0.550 0.157 0.314
O 0.550 0.685 0.841
O 0.556 0.666 0.332
O 0.641 0.999 0.997
O 0.645 0.500 0.001
O 0.646 0.504 0.496
O 0.646 0.992 0.496
O 0.750 0.323 0.647
O 0.854 0.504 0.496
O 0.854 0.992 0.496
O 0.855 0.500 0.001
O 0.859 0.999 0.997
O 0.944 0.666 0.332
O 0.950 0.157 0.314
O 0.950 0.685 0.841
O 0.951 0.156 0.841

Record 6
This entry pairs a crystal structure of K3Cd9Pt2 with its calculated XRD peak list. Radiation: Cu Kα (λ = 1.5418 Å). Structure: a cell relaxed with GGA-PBE.
Intensities are scaled so that the largest is 1000.

The 10 most intense peaks (2θ = 5–70°), low angle first:
2theta	d_spacing	intensity
17.5	5.075	1000
30.5	2.930	585
32.2	2.780	152
35.4	2.538	977
39.7	2.269	486
50.8	1.796	268
50.9	1.792	316
54.2	1.691	160
60.5	1.529	121
63.6	1.464	140

Atomic structure:
Unit cell a=7.169 b=7.169 c=8.810 alpha=90.00 beta=90.00 gamma=120.00
Fractional positions:
K 0.000 0.000 0.000
K 0.333 0.667 0.335
K 0.667 0.333 0.665
Cd 0.000 0.500 0.000
Cd 0.147 0.294 0.645
Cd 0.147 0.853 0.645
Cd 0.294 0.147 0.355
Cd 0.500 0.000 0.000
Cd 0.500 0.500 0.000
Cd 0.706 0.853 0.645
Cd 0.853 0.147 0.355
Cd 0.853 0.706 0.355
Pt 0.333 0.667 0.805
Pt 0.667 0.333 0.195

Record 7
This entry pairs a crystal structure of SmGa5Au7 with its calculated XRD peak list. Radiation: Cu Kα (λ = 1.5418 Å). Structure: a cell relaxed with GGA-PBE.
Intensities are scaled so that the largest is 1000.

The 10 most intense peaks (2θ = 5–70°), low angle first:
2theta	d_spacing	intensity
27.2	3.275	287
31.7	2.824	652
32.7	2.743	716
33.5	2.677	393
37.5	2.401	272
38.3	2.351	1000
38.7	2.327	488
39.5	2.280	338
42.3	2.139	837
60.9	1.521	244

Atomic structure:
Unit cell a=7.136 b=7.136 c=7.136 alpha=133.38 beta=97.48 gamma=100.55
Fractional positions:
Sm 0.000 0.000 0.000
Ga 0.482 0.495 0.501
Ga 0.482 0.981 0.987
Ga 0.753 0.253 0.500
Ga 0.994 0.495 0.013
Ga 0.994 0.981 0.499
Au 0.170 0.475 0.695
Au 0.219 0.719 0.500
Au 0.334 0.334 0.000
Au 0.339 0.002 0.336
Au 0.666 0.002 0.664
Au 0.674 0.674 0.000
Au 0.781 0.475 0.305

Record 8
This entry pairs a crystal structure of Na4GaCl5 with its calculated XRD peak list. Radiation: Cu Kα (λ = 1.5418 Å). Structure: a cell relaxed with GGA-PBE.
Intensities are scaled so that the largest is 1000.

The 10 most intense peaks (2θ = 5–70°), low angle first:
2theta	d_spacing	intensity
10.1	8.736	56
23.7	3.751	30
30.9	2.891	1000
44.1	2.052	109
44.3	2.044	446
44.5	2.034	112
54.8	1.676	56
54.9	1.672	54
55.2	1.664	111
64.5	1.445	95

Atomic structure:
Unit cell a=7.094 b=7.094 c=10.056 alpha=118.33 beta=118.33 gamma=33.33
Fractional positions:
Na 0.097 0.097 0.399
Na 0.298 0.298 0.205
Na 0.702 0.702 0.795
Na 0.903 0.903 0.601
Ga 0.500 0.500 0.000
Cl 0.107 0.107 0.892
Cl 0.296 0.296 0.690
Cl 0.500 0.500 0.500
Cl 0.704 0.704 0.310
Cl 0.893 0.893 0.108

Record 9
This entry pairs a crystal structure of La2Ce2Sb5 with its calculated XRD peak list. Radiation: Cu Kα (λ = 1.5418 Å). Structure: a cell relaxed with GGA-PBE.
Intensities are scaled so that the largest is 1000.

The 10 most intense peaks (2θ = 5–70°), low angle first:
2theta	d_spacing	intensity
26.3	3.387	310
29.1	3.068	1000
30.2	2.958	393
31.7	2.821	455
32.8	2.734	934
34.3	2.614	731
34.4	2.606	725
36.9	2.437	335
44.4	2.041	397
62.8	1.479	295

Atomic structure:
Unit cell a=9.045 b=9.045 c=8.383 alpha=90.00 beta=90.00 gamma=54.96
Fractional positions:
La 0.197 0.197 0.000
La 0.303 0.303 0.500
La 0.697 0.697 0.500
La 0.803 0.803 0.000
Ce 0.152 0.848 0.654
Ce 0.348 0.652 0.154
Ce 0.652 0.348 0.846
Ce 0.848 0.152 0.346
Sb 0.000 0.000 0.000
Sb 0.019 0.715 0.350
Sb 0.215 0.519 0.850
Sb 0.285 0.981 0.350
Sb 0.481 0.785 0.850
Sb 0.500 0.500 0.500
Sb 0.519 0.215 0.150
Sb 0.715 0.019 0.650
Sb 0.785 0.481 0.150
Sb 0.981 0.285 0.650

Record 10
This entry pairs a crystal structure of Ba3IO7 with its calculated XRD peak list. Radiation: Cu Kα (λ = 1.5418 Å). Structure: a cell relaxed with GGA-PBE.
Intensities are scaled so that the largest is 1000.

The 10 most intense peaks (2θ = 5–70°), low angle first:
2theta	d_spacing	intensity
24.5	3.640	594
26.5	3.358	1000
27.8	3.209	477
30.1	2.965	557
31.3	2.857	269
41.8	2.159	334
42.7	2.119	168
46.1	1.969	242
49.0	1.858	208
52.9	1.732	295

Atomic structure:
Unit cell a=5.959 b=5.959 c=6.712 alpha=112.10 beta=112.10 gamma=88.31
Fractional positions:
Ba 0.000 0.000 0.000
Ba 0.265 0.716 0.487
Ba 0.716 0.265 0.487
I 0.501 0.501 0.997
O 0.084 0.084 0.412
O 0.184 0.530 0.788
O 0.351 0.351 0.133
O 0.484 0.813 0.217
O 0.530 0.184 0.788
O 0.645 0.645 0.853
O 0.813 0.484 0.217

Record 11
This entry pairs a crystal structure of ZrZnIrRu with its calculated XRD peak list. Radiation: Cu Kα (λ = 1.5418 Å). Structure: a cell relaxed with GGA-PBE.
Intensities are scaled so that the largest is 1000.

The 10 most intense peaks (2θ = 5–70°), low angle first:
2theta	d_spacing	intensity
21.1	4.204	67
25.2	3.531	62
29.9	2.989	81
39.5	2.281	1000
42.5	2.126	203
43.0	2.102	196
51.8	1.765	113
62.1	1.495	130
69.2	1.358	93
69.5	1.352	92

Atomic structure:
Unit cell a=3.531 b=4.204 c=4.251 alpha=90.00 beta=90.00 gamma=90.00
Fractional positions:
Zr 0.000 0.000 0.000
Zn 0.000 0.500 0.500
Ir 0.500 0.000 0.500
Ru 0.500 0.500 0.000

Record 12
This entry pairs a crystal structure of CsNa8Ag4 with its calculated XRD peak list. Radiation: Cu Kα (λ = 1.5418 Å). Structure: a cell relaxed with GGA-PBE.
Intensities are scaled so that the largest is 1000.

The 10 most intense peaks (2θ = 5–70°), low angle first:
2theta	d_spacing	intensity
15.8	5.602	712
22.4	3.961	758
32.0	2.801	732
32.4	2.762	301
33.8	2.654	1000
35.8	2.505	326
37.5	2.399	410
47.2	1.927	553
51.6	1.771	240
58.1	1.587	247

Atomic structure:
Unit cell a=8.476 b=8.476 c=8.476 alpha=97.26 beta=97.26 gamma=138.34
Fractional positions:
Cs 0.000 0.000 0.000
Na 0.000 0.344 0.344
Na 0.000 0.656 0.656
Na 0.270 0.500 0.770
Na 0.344 0.000 0.344
Na 0.500 0.270 0.770
Na 0.500 0.730 0.230
Na 0.656 0.000 0.656
Na 0.730 0.500 0.230
Ag 0.000 0.000 0.500
Ag 0.000 0.500 0.000
Ag 0.500 0.000 0.000
Ag 0.500 0.500 0.500